This entry pairs a crystal structure of Ba2Ta2O7 with its theoretical X-ray powder pattern. Radiation: copper Kα. Structure: a structure optimized by DFT (PBE).
Lines closer than 0.1° are merged.

a b c (Å): 7.7795 7.7795 7.7795
angles (deg): 120.45 91.83 117.47
Sites, in units of the cell vectors:
Ba 0.0000 0.0000 0.0000
Ba 0.5000 0.0000 0.0000
Ba 0.5000 0.0000 0.5000
Ba 0.5000 0.5000 0.5000
Ta 0.0000 0.0000 0.5000
Ta 0.0000 0.5000 0.0000
Ta 0.0000 0.5000 0.5000
Ta 0.5000 0.5000 0.0000
O 0.0364 0.2282 0.4293
O 0.0364 0.6071 0.8082
O 0.0837 0.8337 0.2500
O 0.2989 0.2282 0.6918
O 0.2989 0.6071 0.0707
O 0.3000 0.7096 0.5904
O 0.3808 0.2904 0.0904
O 0.6192 0.7096 0.9096
O 0.7000 0.2904 0.4096
O 0.7011 0.3929 0.9293
O 0.7011 0.7718 0.3082
O 0.9163 0.1663 0.7500
O 0.9636 0.3929 0.1918
O 0.9636 0.7718 0.5707

Principal peaks in the range 5 to 70 degrees two-theta, sorted by position:
3.236 Å, rel. 100; 3.144 Å, rel. 91; 2.791 Å, rel. 55; 2.706 Å, rel. 24; 1.943 Å, rel. 53; 1.932 Å, rel. 14; 1.699 Å, rel. 33; 1.659 Å, rel. 29; 1.647 Å, rel. 15; 1.618 Å, rel. 14